Calculated powder diffraction line list of BaAl2Sb for a wavelength of 1.5418 Å, from DFT lattice parameters and positions (PBE).
Neutral-atom scattering factors, no anomalous dispersion.

Structure:
Cell: 4.2559 4.2674 6.6057 Å, 90.00 90.00 90.00°
Space group Pmm2 (No. 25)
One atom of each set of equivalent atoms:
1 Ba 0.0000 0.0000 0.0000 [1 per cell]
2 Al 0.0000 0.5000 0.4297 [1 per cell]
3 Al 0.5000 0.0000 0.4307 [1 per cell]
4 Sb 0.5000 0.5000 0.7264 [1 per cell]

Principal peaks in the range 10 to 80 degrees two-theta, in order of falling intensity:
| index | Position (°2θ) | intensity |
| --- | --- | --- |
| 1 0 1 | 24.86 | 100 |
| 0 1 2 | 34.35 | 73 |
| 1 1 1 | 32.66 | 63 |
| 0 0 4 | 55.68 | 41 |
| 0 0 1 | 13.40 | 36 |
| 1 1 0 | 29.65 | 34 |
| 1 2 1 | 49.80 | 30 |
| 1 1 3 | 51.40 | 16 |
| 0 2 0 | 42.36 | 15 |
| 2 0 0 | 42.48 | 15 |

***

Calculated powder diffraction line list of BaAlSb2 for a wavelength of 1.5418 Å, from DFT lattice parameters and positions (PBE).
Neutral-atom scattering factors, no anomalous dispersion.

Structure:
Cell: 9.2144 4.7521 6.4023 Å, 90.00 114.12 90.00°
Space group C2/m (No. 12)
One atom of each set of equivalent atoms:
1 Ba 0.0000 0.0000 0.0000 [2 per cell]
2 Al 0.0000 0.5000 0.5000 [2 per cell]
3 Sb 0.2110 0.0000 0.6284 [4 per cell]

Principal peaks in the range 10 to 80 degrees two-theta, in order of falling intensity:
| index | Position (°2θ) | intensity |
| --- | --- | --- |
| 3 1 -1 | 34.85 | 100 |
| 1 1 1 | 28.84 | 86 |
| 1 1 -2 | 33.81 | 77 |
| 1 1 0 | 21.48 | 56 |
| 2 0 1 | 30.86 | 48 |
| 0 2 0 | 37.86 | 40 |
| 2 0 -2 | 29.24 | 40 |
| 2 0 -1 | 20.36 | 35 |
| 2 2 1 | 49.62 | 25 |
| 1 1 3 | 56.09 | 20 |

***

Calculated powder diffraction line list of BaScAl4 for a wavelength of 1.5418 Å, from DFT lattice parameters and positions (PBE).
Neutral-atom scattering factors, no anomalous dispersion.

Structure:
Cell: 8.0722 8.0722 8.0722 Å, 90.00 90.00 90.00°
Space group F-43m (No. 216)
One atom of each set of equivalent atoms:
1 Ba 0.0000 0.0000 0.0000 [4 per cell]
2 Sc 0.2500 0.2500 0.7500 [4 per cell]
3 Al 0.1242 0.1242 0.3758 [16 per cell]

Principal peaks in the range 10 to 80 degrees two-theta, in order of falling intensity:
| index | Position (°2θ) | intensity |
| --- | --- | --- |
| 3 1 1 | 36.93 | 100 |
| 2 2 0 | 31.34 | 69 |
| 1 1 1 | 19.04 | 41 |
| 5 1 1 | 59.50 | 32 |
| 4 2 2 | 55.79 | 25 |
| 4 4 0 | 65.40 | 20 |
| 2 0 0 | 22.02 | 20 |
| 2 2 2 | 38.64 | 16 |
| 5 3 3 | 77.55 | 11 |
| 3 3 1 | 49.20 | 11 |

***

Calculated powder diffraction line list of Ba2Al7Si for a wavelength of 1.5418 Å, from DFT lattice parameters and positions (PBE).
Neutral-atom scattering factors, no anomalous dispersion.

Structure:
Cell: 4.5881 4.5881 11.1256 Å, 90.00 90.00 90.00°
Space group P-4m2 (No. 115)
One atom of each set of equivalent atoms:
1 Ba 0.0000 0.5000 0.2464 [2 per cell]
2 Al 0.0000 0.0000 0.0000 [1 per cell]
3 Al 0.0000 0.0000 0.5000 [1 per cell]
4 Al 0.0000 0.5000 0.6317 [2 per cell]
5 Al 0.0000 0.5000 0.8760 [2 per cell]
6 Al 0.5000 0.5000 0.5000 [1 per cell]
7 Si 0.5000 0.5000 0.0000 [1 per cell]

Principal peaks in the range 10 to 80 degrees two-theta, in order of falling intensity:
| index | Position (°2θ) | intensity |
| --- | --- | --- |
| 1 1 2 | 31.93 | 100 |
| 1 0 3 | 31.01 | 85 |
| 1 0 1 | 20.94 | 66 |
| 2 0 0 | 39.27 | 46 |
| 2 1 3 | 50.86 | 42 |
| 1 1 0 | 27.49 | 35 |
| 1 0 5 | 45.29 | 31 |
| 2 1 5 | 61.47 | 25 |
| 3 1 2 | 66.61 | 23 |
| 0 0 2 | 15.93 | 21 |

***

Calculated powder diffraction line list of Ba5Al5Sn for a wavelength of 1.5418 Å, from DFT lattice parameters and positions (PBE).
Neutral-atom scattering factors, no anomalous dispersion.

Structure:
Cell: 6.1040 6.1040 11.1935 Å, 90.00 90.00 120.00°
Space group P-6m2 (No. 187)
One atom of each set of equivalent atoms:
1 Ba 0.0000 0.0000 0.0000 [1 per cell]
2 Ba 0.3333 0.6667 0.2004 [2 per cell]
3 Ba 0.6667 0.3333 0.3287 [2 per cell]
4 Al 0.0000 0.0000 0.3241 [2 per cell]
5 Al 0.1790 0.3579 0.5000 [3 per cell]
6 Sn 0.6667 0.3333 0.0000 [1 per cell]

Principal peaks in the range 10 to 80 degrees two-theta, in order of falling intensity:
| index | Position (°2θ) | intensity |
| --- | --- | --- |
| 1 1 0 | 29.28 | 100 |
| 3 0 0 | 51.91 | 30 |
| 1 0 2 | 23.14 | 20 |
| 2 0 3 | 41.89 | 13 |
| 1 1 6 | 57.92 | 12 |
| 1 1 3 | 38.09 | 11 |
| 2 2 0 | 60.71 | 11 |
| 3 1 3 | 68.81 | 10 |
| 2 0 2 | 37.64 | 7 |
| 1 0 0 | 16.77 | 7 |

***

Calculated powder diffraction line list of BaAlSn4 for a wavelength of 1.5418 Å, from DFT lattice parameters and positions (PBE).
Neutral-atom scattering factors, no anomalous dispersion.

Structure:
Cell: 5.7380 17.5126 7.2834 Å, 90.00 90.00 90.00°
Space group Cmcm (No. 63)
One atom of each set of equivalent atoms:
1 Ba 0.0000 0.0980 0.2500 [4 per cell]
2 Al 0.0000 0.3744 0.2500 [4 per cell]
3 Sn 0.0000 0.1032 0.7500 [4 per cell]
4 Sn 0.0000 0.2676 0.5482 [8 per cell]
5 Sn 0.0000 0.5000 0.0000 [4 per cell]

Principal peaks in the range 10 to 80 degrees two-theta, in order of falling intensity:
| index | Position (°2θ) | intensity |
| --- | --- | --- |
| 0 4 2 | 31.97 | 100 |
| 1 5 0 | 29.89 | 97 |
| 1 1 2 | 29.50 | 93 |
| 2 0 0 | 31.17 | 77 |
| 2 4 2 | 45.25 | 77 |
| 4 4 2 | 74.27 | 34 |
| 1 9 2 | 55.92 | 33 |
| 1 5 4 | 59.44 | 20 |
| 3 5 0 | 54.68 | 18 |
| 3 1 2 | 54.44 | 17 |

***

Calculated powder diffraction line list of Ba3AlSn4 for a wavelength of 1.5418 Å, from DFT lattice parameters and positions (PBE).
Neutral-atom scattering factors, no anomalous dispersion.

Structure:
Cell: 5.4348 6.5804 17.8279 Å, 90.00 90.00 90.00°
Space group Immm (No. 71)
One atom of each set of equivalent atoms:
1 Ba 0.0000 0.0000 0.0000 [2 per cell]
2 Ba 0.0000 0.5000 0.1957 [4 per cell]
3 Al 0.0000 0.0000 0.5000 [2 per cell]
4 Sn 0.0000 0.2809 0.3838 [8 per cell]

Principal peaks in the range 10 to 80 degrees two-theta, in order of falling intensity:
| index | Position (°2θ) | intensity |
| --- | --- | --- |
| 1 0 5 | 29.97 | 100 |
| 1 1 2 | 23.46 | 75 |
| 1 2 1 | 32.20 | 74 |
| 2 0 0 | 32.96 | 52 |
| 0 2 4 | 33.86 | 49 |
| 2 2 4 | 47.98 | 39 |
| 0 1 3 | 20.13 | 32 |
| 1 2 3 | 35.28 | 30 |
| 0 3 3 | 44.04 | 19 |
| 2 2 6 | 53.49 | 19 |

***

Calculated powder diffraction line list of BaAlSn4 for a wavelength of 1.5418 Å, from DFT lattice parameters and positions (PBE).
Neutral-atom scattering factors, no anomalous dispersion.

Structure:
Cell: 8.9653 8.9653 8.9653 Å, 90.00 90.00 90.00°
Space group F-43m (No. 216)
One atom of each set of equivalent atoms:
1 Ba 0.0000 0.0000 0.0000 [4 per cell]
2 Al 0.2500 0.2500 0.7500 [4 per cell]
3 Sn 0.1243 0.1243 0.3757 [16 per cell]

Principal peaks in the range 10 to 80 degrees two-theta, in order of falling intensity:
| index | Position (°2θ) | intensity |
| --- | --- | --- |
| 3 1 1 | 33.14 | 100 |
| 2 2 2 | 34.66 | 56 |
| 5 1 1 | 53.08 | 36 |
| 4 4 0 | 58.21 | 32 |
| 1 1 1 | 17.13 | 27 |
| 6 2 2 | 69.55 | 23 |
| 2 2 0 | 28.15 | 15 |
| 5 3 3 | 68.65 | 13 |
| 4 0 0 | 40.24 | 12 |
| 3 3 1 | 44.03 | 8 |

***

Calculated powder diffraction line list of Ba4AlSn3 for a wavelength of 1.5418 Å, from DFT lattice parameters and positions (PBE).
Neutral-atom scattering factors, no anomalous dispersion.

Structure:
Cell: 4.6983 5.3042 12.8291 Å, 90.00 90.00 90.00°
Space group Pmm2 (No. 25)
One atom of each set of equivalent atoms:
1 Ba 0.0000 0.0000 0.0000 [1 per cell]
2 Ba 0.0000 0.5000 0.4995 [1 per cell]
3 Ba 0.5000 0.0000 0.2746 [1 per cell]
4 Ba 0.5000 0.5000 0.7745 [1 per cell]
5 Al 0.5000 0.0000 0.5735 [1 per cell]
6 Sn 0.0000 0.0000 0.7035 [1 per cell]
7 Sn 0.0000 0.5000 0.2085 [1 per cell]
8 Sn 0.5000 0.5000 0.0651 [1 per cell]

Principal peaks in the range 10 to 80 degrees two-theta, in order of falling intensity:
| index | Position (°2θ) | intensity |
| --- | --- | --- |
| 1 1 1 | 26.27 | 100 |
| 1 1 3 | 32.98 | 73 |
| 0 2 0 | 33.81 | 57 |
| 0 1 3 | 26.78 | 45 |
| 2 0 0 | 38.32 | 24 |
| 1 3 3 | 59.96 | 23 |
| 0 0 4 | 27.82 | 22 |
| 2 2 0 | 52.00 | 20 |
| 2 1 3 | 47.36 | 19 |
| 0 1 7 | 52.85 | 18 |

***

Calculated powder diffraction line list of Ba3Sr2Al2Zn4 for a wavelength of 1.5418 Å, from DFT lattice parameters and positions (PBE).
Neutral-atom scattering factors, no anomalous dispersion.

Structure:
Cell: 4.5380 4.5380 22.1845 Å, 90.00 90.00 120.00°
Space group P-3m1 (No. 164)
One atom of each set of equivalent atoms:
1 Ba 0.0000 0.0000 0.0000 [1 per cell]
2 Ba 0.0000 0.0000 0.2271 [2 per cell]
3 Sr 0.3333 0.6667 0.5791 [2 per cell]
4 Al 0.3333 0.6667 0.1172 [2 per cell]
5 Zn 0.3333 0.6667 0.3326 [2 per cell]
6 Zn 0.3333 0.6667 0.8839 [2 per cell]

Principal peaks in the range 10 to 80 degrees two-theta, in order of falling intensity:
| index | Position (°2θ) | intensity |
| --- | --- | --- |
| 0 1 4 | 27.82 | 100 |
| 1 1 0 | 39.74 | 60 |
| 1 0 5 | 30.38 | 38 |
| 1 1 9 | 55.00 | 30 |
| 0 0 9 | 36.44 | 27 |
| 1 0 1 | 22.98 | 22 |
| 2 0 4 | 49.20 | 21 |
| 1 2 4 | 65.01 | 19 |
| 1 0 3 | 25.67 | 18 |
| 0 1 13 | 59.01 | 13 |

***

Calculated powder diffraction line list of BaTaAl2 for a wavelength of 1.5418 Å, from DFT lattice parameters and positions (PBE).
Neutral-atom scattering factors, no anomalous dispersion.

Structure:
Cell: 3.1253 4.5049 7.0954 Å, 90.00 90.00 90.00°
Space group Pmm2 (No. 25)
One atom of each set of equivalent atoms:
1 Ba 0.0000 0.0000 0.0000 [1 per cell]
2 Ta 0.0000 0.5000 0.6170 [1 per cell]
3 Al 0.5000 0.0000 0.5521 [1 per cell]
4 Al 0.5000 0.5000 0.3050 [1 per cell]

Principal peaks in the range 10 to 80 degrees two-theta, in order of falling intensity:
| index | Position (°2θ) | intensity |
| --- | --- | --- |
| 0 1 1 | 23.39 | 100 |
| 1 1 1 | 37.24 | 91 |
| 0 0 1 | 12.48 | 35 |
| 0 0 2 | 25.10 | 33 |
| 0 1 2 | 32.11 | 30 |
| 1 0 0 | 28.56 | 29 |
| 1 1 2 | 43.51 | 28 |
| 0 2 0 | 40.03 | 24 |
| 2 1 1 | 64.45 | 24 |
| 1 0 2 | 38.38 | 22 |

***

Calculated powder diffraction line list of Ba2AlTe4 for a wavelength of 1.5418 Å, from DFT lattice parameters and positions (PBE).
Neutral-atom scattering factors, no anomalous dispersion.

Structure:
Cell: 8.2158 6.8084 9.9892 Å, 90.00 107.57 90.00°
Space group P2_1/m (No. 11)
One atom of each set of equivalent atoms:
1 Ba 0.2247 0.2500 0.4304 [2 per cell]
2 Ba 0.2580 0.2500 0.9417 [2 per cell]
3 Al 0.2438 0.7500 0.1884 [2 per cell]
4 Te 0.0782 0.7500 0.3745 [2 per cell]
5 Te 0.0971 0.7500 0.9193 [2 per cell]
6 Te 0.4972 0.5075 0.7384 [4 per cell]

Principal peaks in the range 10 to 80 degrees two-theta, in order of falling intensity:
| index | Position (°2θ) | intensity |
| --- | --- | --- |
| 2 0 -2 | 24.67 | 100 |
| 0 2 2 | 32.33 | 62 |
| 2 1 -2 | 27.98 | 49 |
| 1 2 0 | 28.59 | 43 |
| 1 0 -4 | 35.96 | 29 |
| 3 1 0 | 36.87 | 21 |
| 2 2 0 | 34.92 | 20 |
| 2 2 -4 | 46.57 | 19 |
| 0 2 0 | 26.21 | 19 |
| 2 4 -2 | 60.10 | 18 |